Starting from a PBE-relaxed structure, the powder XRD pattern of Be2ZnSi was computed for λ = 1.5418 Å (Cu Kα).
Peak positions follow from Bragg's law for the DFT cell and can differ from measured ones.

Cell and atoms:
```
data_Be2ZnSi
_chemical_formula_sum 'Be2 Zn1 Si1'
_space_group_name_H-M_alt 'P 1'
_space_group_IT_number 1
_space_group_name_Hall 'P 1'
_cell_length_a 2.4326
_cell_length_b 3.4476
_cell_length_c 5.6950
_cell_angle_alpha 90.00
_cell_angle_beta 90.00
_cell_angle_gamma 90.00
loop_
_atom_site_label
_atom_site_fract_x
_atom_site_fract_y
_atom_site_fract_z
Be1 0.0000 0.0000 0.0000
Be2 0.5000 0.5000 0.1839
Zn1 0.5000 0.5000 0.7476
Si1 0.0000 0.0000 0.4124
```

Most intense lines, 10° ≤ 2θ ≤ 90°, in order of rising 2θ:
| two_theta | I/Imax |
| --- | --- |
| 15.56 | 91.3 |
| 30.31 | 100.0 |
| 31.42 | 23.2 |
| 40.32 | 45.6 |
| 41.11 | 61.3 |
| 45.64 | 56.4 |
| 48.51 | 22.3 |
| 49.27 | 35.4 |
| 68.33 | 24.7 |
| 75.37 | 19.1 |